Entry 1:
Computed X-ray powder pattern of Nd2MgPd7 for copper Kα, from a DFT-relaxed cell (GGA-PBE, Alexandria).

Cell and atoms:
```
Nd2MgPd7
1.0
0.0000 4.7828 4.7828
4.7828 0.0000 4.7828
4.7828 4.7828 0.0000
Nd Mg Pd
2 1 7
direct
0.2500 0.2500 0.2500
0.7500 0.7500 0.7500
0.0000 0.0000 0.0000
0.2412 0.2412 0.7588
0.2412 0.7588 0.2412
0.2412 0.7588 0.7588
0.5000 0.5000 0.5000
0.7588 0.2412 0.2412
0.7588 0.2412 0.7588
0.7588 0.7588 0.2412
```

The 10 most intense peaks (2θ = 15–90°), most intense first:
32.42 deg, rel. 100; 37.61 deg, rel. 89; 54.25 deg, rel. 60; 64.63 deg, rel. 39; 67.89 deg, rel. 20; 26.35 deg, rel. 17; 89.27 deg, rel. 16; 80.29 deg, rel. 9; 46.51 deg, rel. 7; 41.13 deg, rel. 5


Entry 2:
Computed X-ray powder pattern of NdMg4Pd2 for copper Kα, from a DFT-relaxed cell (GGA-PBE, Alexandria).

Cell and atoms:
```
NdMg4Pd2
1.0
8.1229 0.0000 0.0000
0.0000 8.1229 0.0000
0.0000 0.0000 4.5063
Nd Mg Pd
2 8 4
direct
0.0000 0.0000 0.0000
0.5000 0.5000 0.5000
0.0877 0.3365 0.5000
0.1635 0.5877 0.0000
0.3365 0.0877 0.5000
0.4123 0.8365 0.0000
0.5877 0.1635 0.0000
0.6635 0.9123 0.5000
0.8365 0.4123 0.0000
0.9123 0.6635 0.5000
0.2298 0.7702 0.5000
0.2702 0.2702 0.0000
0.7298 0.7298 0.0000
0.7702 0.2298 0.5000
```

The 10 most intense peaks (2θ = 15–90°), most intense first:
31.64 deg, rel. 100; 40.42 deg, rel. 74; 31.14 deg, rel. 67; 25.12 deg, rel. 61; 15.43 deg, rel. 34; 40.02 deg, rel. 34; 51.56 deg, rel. 32; 34.93 deg, rel. 30; 22.56 deg, rel. 28; 60.59 deg, rel. 23